Starting from DFT lattice parameters and positions (GGA-PBE), the powder XRD pattern of DyEr12Tl3 was computed for Cu Kα.
Neutral-atom scattering factors, no anomalous dispersion.

```
DyEr12Tl3
1.0
4.825 0.000 0.000
0.000 4.825 0.000
0.000 0.000 19.667
Dy Er Tl
1 12 3
Cartesian
0.000 0.000 0.000 Dy
0.000 2.413 2.545 Er
0.000 2.413 7.415 Er
0.000 2.413 12.252 Er
0.000 2.413 17.122 Er
2.413 0.000 2.545 Er
2.413 0.000 7.415 Er
2.413 0.000 12.252 Er
2.413 0.000 17.122 Er
2.413 2.413 0.000 Er
2.413 2.413 5.006 Er
2.413 2.413 9.833 Er
2.413 2.413 14.661 Er
0.000 0.000 5.039 Tl
0.000 0.000 9.833 Tl
0.000 0.000 14.628 Tl
```

The 10 most intense peaks (15° ≤ 2θ ≤ 90°), sorted by position:
2theta	I/Imax
31.93	1000
36.55	170
37.27	333
53.19	233
53.73	118
62.91	135
63.88	278
66.74	118
87.31	113
88.17	60

Starting from DFT lattice parameters and positions (GGA-PBE), the powder XRD pattern of H3Pd2Pt2 was computed for Cu Kα.
Neutral-atom scattering factors, no anomalous dispersion.

```
H3Pd2Pt2
1.0
5.574 0.000 0.000
0.000 5.084 0.000
-2.625 0.000 5.032
H Pd Pt
6 4 4
Cartesian
0.000 0.000 0.000 H
-1.312 2.542 2.516 H
-0.037 0.040 3.453 H
1.275 2.502 0.937 H
1.674 2.582 4.095 H
2.987 5.044 1.579 H
-0.238 0.937 1.849 Pd
-1.550 1.605 4.365 Pd
4.500 3.479 0.667 Pd
3.187 4.147 3.183 Pd
0.383 3.433 3.139 Pt
1.696 4.192 0.623 Pt
1.254 0.891 4.409 Pt
2.566 1.651 1.893 Pt
```

The 10 most intense peaks (15° ≤ 2θ ≤ 90°), sorted by position:
2theta	I/Imax
35.31	330
35.49	311
37.40	725
39.98	1000
40.12	744
40.59	945
52.38	216
63.50	301
75.64	272
77.73	273

Starting from DFT lattice parameters and positions (GGA-PBE), the powder XRD pattern of Pm4Sm2Er2Tm was computed for Cu Kα.
Neutral-atom scattering factors, no anomalous dispersion.

```
Pm4Sm2Er2Tm
1.0
7.643 -2.546 0.000
7.643 2.546 0.000
-2.551 0.000 7.599
Pm Sm Er Tm
4 2 2 1
Cartesian
-0.004 0.000 2.511 Pm
2.543 0.000 5.086 Pm
10.191 0.000 2.513 Pm
12.738 0.000 5.088 Pm
5.095 0.000 2.509 Sm
7.639 0.000 5.090 Sm
2.546 0.000 0.000 Er
10.188 0.000 7.599 Er
7.643 0.000 0.000 Tm
```

The 10 most intense peaks (15° ≤ 2θ ≤ 90°), sorted by position:
2theta	I/Imax
30.45	1000
35.24	340
35.44	167
50.70	121
50.84	240
60.30	288
60.56	142
63.37	124
82.82	118
85.22	69

Starting from DFT lattice parameters and positions (GGA-PBE), the powder XRD pattern of Fe3Ir7 was computed for Cu Kα.
Neutral-atom scattering factors, no anomalous dispersion.

```
Fe3Ir7
1.0
7.193 0.000 0.000
0.000 4.948 0.000
-3.355 0.000 7.941
Fe Ir
6 14
Cartesian
-0.105 0.000 2.205 Fe
-0.773 2.338 6.135 Fe
1.873 3.812 0.876 Fe
1.965 1.337 7.065 Fe
4.611 4.812 1.806 Fe
3.943 2.474 5.736 Fe
-1.378 3.678 4.046 Ir
0.513 1.637 0.208 Ir
-1.624 4.911 6.448 Ir
0.579 2.446 2.787 Ir
0.584 0.489 4.888 Ir
3.151 1.490 0.502 Ir
2.327 0.493 2.806 Ir
1.510 2.967 5.135 Ir
0.686 3.964 7.440 Ir
3.254 2.963 3.053 Ir
3.258 4.920 5.154 Ir
5.462 2.437 1.493 Ir
3.324 4.111 7.733 Ir
5.216 1.204 3.895 Ir
```

The 10 most intense peaks (15° ≤ 2θ ≤ 90°), sorted by position:
2theta	I/Imax
21.16	253
37.90	424
38.11	520
38.84	270
41.76	275
42.12	1000
42.43	715
43.07	453
45.78	428
45.86	294

Starting from DFT lattice parameters and positions (GGA-PBE), the powder XRD pattern of RbAlSe2 was computed for Cu Kα.
Neutral-atom scattering factors, no anomalous dispersion.

```
RbAlSe2
1.0
11.246 0.000 0.000
0.000 4.064 0.000
-6.933 0.000 11.361
Rb Al Se
4 4 8
Cartesian
-1.559 0.003 5.044 Rb
-5.025 2.029 10.724 Rb
9.338 2.035 0.637 Rb
5.872 4.061 6.318 Rb
2.556 0.010 2.967 Al
-0.911 2.022 8.648 Al
5.224 2.043 2.713 Al
1.757 4.054 8.394 Al
0.467 0.006 2.095 Se
-2.999 2.026 7.776 Se
4.471 0.011 1.393 Se
1.004 2.021 7.074 Se
3.308 2.043 4.287 Se
-0.158 4.053 9.968 Se
7.312 2.038 3.585 Se
3.846 4.058 9.266 Se
```

The 10 most intense peaks (15° ≤ 2θ ≤ 90°), sorted by position:
2theta	I/Imax
26.55	1000
26.89	680
27.13	255
27.88	461
32.31	407
33.77	530
37.42	229
40.78	241
44.59	221
54.22	359

Starting from DFT lattice parameters and positions (GGA-PBE), the powder XRD pattern of TbTmGeRh was computed for Cu Kα.
Neutral-atom scattering factors, no anomalous dispersion.

```
TbTmGeRh
1.0
0.000 3.484 3.484
3.484 0.000 3.484
3.484 3.484 0.000
Tb Tm Ge Rh
1 1 1 1
Cartesian
0.000 0.000 0.000 Tb
3.484 3.484 3.484 Tm
1.742 1.742 1.742 Ge
5.227 5.227 5.227 Rh
```

The 10 most intense peaks (15° ≤ 2θ ≤ 90°), sorted by position:
2theta	I/Imax
22.09	10
25.57	99
36.47	1000
45.07	30
52.53	175
59.30	42
65.63	357
77.48	111
83.17	21
88.80	162